This entry pairs a crystal structure of BaAc2In3 with its theoretical X-ray powder pattern. Radiation: Cu Kα (weighted mean of Kα1 and Kα2). Structure: DFT lattice parameters and positions (PBE).
Intensities are scaled so that the largest is 100.

abc: 4.154 4.154 12.595
angles: 90.00 90.00 90.00
Space group P4/mmm (No. 123)
Inequivalent atoms, fractional coordinates:
Ba 0.000 0.000 0.000 (multiplicity 1)
Ac 0.000 0.000 0.338 (multiplicity 2)
In 0.500 0.500 0.183 (multiplicity 2)
In 0.500 0.500 0.500 (multiplicity 1)

Largest 12 diffraction maxima, by angle, 2θ = 15–90°:
(1 0 3), 30.3 deg, d 2.953, I 100
(1 1 0), 30.4 deg, d 2.937, I 51
(0 0 6), 43.1 deg, d 2.099, I 9
(2 0 0), 43.6 deg, d 2.077, I 19
(1 1 6), 53.7 deg, d 1.708, I 18
(2 1 3), 54.0 deg, d 1.699, I 39
(2 0 6), 63.0 deg, d 1.476, I 11
(1 0 9), 71.1 deg, d 1.326, I 7
(3 1 0), 71.8 deg, d 1.314, I 17
(2 1 9), 87.2 deg, d 1.118, I 8
(3 1 6), 87.6 deg, d 1.114, I 10
(3 2 3), 87.9 deg, d 1.111, I 10

=====

This entry pairs a crystal structure of ZrCr2Pb with its theoretical X-ray powder pattern. Radiation: Cu Kα (weighted mean of Kα1 and Kα2). Structure: DFT lattice parameters and positions (PBE).
Intensities are scaled so that the largest is 100.

abc: 4.462 4.462 3.584
angles: 90.00 90.00 90.00
Space group P4/mmm (No. 123)
Inequivalent atoms, fractional coordinates:
Zr 0.000 0.000 0.000 (multiplicity 1)
Cr 0.000 0.500 0.500 (multiplicity 2)
Pb 0.500 0.500 0.000 (multiplicity 1)

Largest 12 diffraction maxima, by angle, 2θ = 15–90°:
(1 0 0), 19.9 deg, d 4.462, I 18
(0 0 1), 24.8 deg, d 3.584, I 16
(1 1 0), 28.3 deg, d 3.155, I 23
(1 0 1), 32.0 deg, d 2.794, I 12
(1 1 1), 38.0 deg, d 2.368, I 100
(2 0 0), 40.4 deg, d 2.231, I 42
(2 0 1), 48.0 deg, d 1.894, I 12
(0 0 2), 51.0 deg, d 1.792, I 11
(2 2 0), 58.5 deg, d 1.578, I 14
(2 0 2), 67.0 deg, d 1.397, I 18
(3 1 1), 71.9 deg, d 1.313, I 29
(2 2 2), 81.2 deg, d 1.184, I 11

=====

This entry pairs a crystal structure of Cs2Ag3Br8 with its theoretical X-ray powder pattern. Radiation: Cu Kα (weighted mean of Kα1 and Kα2). Structure: DFT lattice parameters and positions (PBE).
Intensities are scaled so that the largest is 100.

abc: 5.373 5.373 15.860
angles: 90.00 90.00 90.00
Space group P4/mmm (No. 123)
Inequivalent atoms, fractional coordinates:
Cs 0.000 0.000 0.186 (multiplicity 2)
Ag 0.500 0.500 0.000 (multiplicity 1)
Ag 0.500 0.500 0.350 (multiplicity 2)
Br 0.000 0.500 0.000 (multiplicity 2)
Br 0.000 0.500 0.356 (multiplicity 4)
Br 0.500 0.500 0.166 (multiplicity 2)

Largest 12 diffraction maxima, by angle, 2θ = 15–90°:
(1 0 0), 16.5 deg, d 5.373, I 22
(0 0 3), 16.8 deg, d 5.287, I 26
(1 0 3), 23.6 deg, d 3.769, I 51
(1 1 2), 26.0 deg, d 3.427, I 23
(1 1 3), 28.9 deg, d 3.085, I 55
(2 0 0), 33.3 deg, d 2.687, I 100
(0 0 6), 33.9 deg, d 2.644, I 35
(2 1 3), 41.3 deg, d 2.188, I 23
(2 0 5), 44.2 deg, d 2.050, I 24
(2 2 0), 47.9 deg, d 1.900, I 35
(2 0 6), 48.3 deg, d 1.884, I 48
(2 2 6), 60.0 deg, d 1.543, I 24

=====

This entry pairs a crystal structure of PmYPu with its theoretical X-ray powder pattern. Radiation: Cu Kα (weighted mean of Kα1 and Kα2). Structure: DFT lattice parameters and positions (PBE).
Intensities are scaled so that the largest is 100.

abc: 13.045 3.400 9.740
angles: 90.00 117.12 90.00
Space group C2/m (No. 12)
Inequivalent atoms, fractional coordinates:
Pm 0.121 0.000 0.339 (multiplicity 4)
Y 0.122 0.500 0.672 (multiplicity 4)
Pu 0.129 0.000 0.993 (multiplicity 4)

Largest 12 diffraction maxima, by angle, 2θ = 15–90°:
(1 1 0), 27.3 deg, d 3.263, I 49
(1 1 -1), 28.0 deg, d 3.192, I 83
(4 0 0), 30.8 deg, d 2.903, I 100
(0 0 3), 30.9 deg, d 2.890, I 97
(4 0 -3), 32.2 deg, d 2.776, I 84
(3 1 -2), 35.0 deg, d 2.564, I 74
(1 1 2), 36.5 deg, d 2.460, I 54
(3 1 1), 39.7 deg, d 2.272, I 42
(5 1 -1), 44.4 deg, d 2.040, I 33
(4 0 3), 54.0 deg, d 1.699, I 42
(4 2 0), 63.5 deg, d 1.466, I 69
(8 0 0), 64.2 deg, d 1.450, I 43